For Th2Hg2Au, a structure optimized by DFT (PBE) gives the simulated powder XRD pattern in this record (Cu Kα (weighted mean of Kα1 and Kα2)).

Peak list (10 most intense, 2θ = 15–90°, sorted by position)
Position (°2θ), I/Imax, (hkl)
32.56, 100, 1 1 1
34.34, 95, 0 1 5
34.88, 54, 1 0 4
36.54, 28, 1 1 3
37.36, 44, 0 2 0
52.04, 35, 1 2 4
63.30, 17, 1 1 9
65.05, 31, 2 1 5
66.99, 17, 2 2 0
89.33, 18, 2 3 5

a = 3.4306 Å, b = 4.8141 Å, c = 15.5453 Å
α = 90.00°, β = 90.00°, γ = 90.00°
Space group Amm2 (No. 38)
Unique sites:
Th 0.0000 0.0000 0.0000 (multiplicity 2)
Th 0.0000 0.0000 0.2369 (multiplicity 2)
Hg 0.5000 0.0000 0.6164 (multiplicity 2)
Hg 0.5000 0.0000 0.8176 (multiplicity 2)
Au 0.5000 0.0000 0.4213 (multiplicity 2)

---

For AcLa2Pr3Se6, a structure optimized by DFT (PBE) gives the simulated powder XRD pattern in this record (Cu Kα (weighted mean of Kα1 and Kα2)).

Peak list (10 most intense, 2θ = 15–90°, sorted by position)
Position (°2θ), I/Imax, (hkl)
25.23, 10, 1 3 -1
25.32, 9, 2 0 0
29.27, 100, 1 3 1
41.82, 38, 0 6 0
41.93, 38, 2 0 2
51.80, 13, 2 6 -2
52.01, 13, 4 0 0
60.71, 12, 4 0 -4
68.80, 23, 5 3 -3
76.63, 11, 5 3 1

a = 7.4724 Å, b = 12.9804 Å, c = 7.4616 Å
α = 90.00°, β = 109.61°, γ = 90.00°
Space group C2/m (No. 12)
Unique sites:
Ac 0.0000 0.0000 0.0000 (multiplicity 2)
La 0.0000 0.3332 0.0000 (multiplicity 4)
Pr 0.0000 0.1645 0.5000 (multiplicity 4)
Pr 0.0000 0.5000 0.5000 (multiplicity 2)
Se 0.2454 0.3308 0.7443 (multiplicity 8)
Se 0.2460 0.5000 0.2535 (multiplicity 4)

---

For ZnSi4Cl, a structure optimized by DFT (PBE) gives the simulated powder XRD pattern in this record (Cu Kα (weighted mean of Kα1 and Kα2)).

Peak list (10 most intense, 2θ = 15–90°, sorted by position)
Position (°2θ), I/Imax, (hkl)
20.78, 8, 1 1 1
34.26, 51, 2 2 0
40.41, 100, 3 1 1
42.30, 23, 2 2 2
61.36, 17, 4 2 2
65.53, 30, 5 1 1
72.19, 22, 4 4 0
82.40, 7, 6 2 0
86.15, 11, 5 3 3
87.39, 9, 6 2 2

a = 7.4022 Å, b = 7.4022 Å, c = 7.4022 Å
α = 90.00°, β = 90.00°, γ = 90.00°
Space group F-43m (No. 216)
Unique sites:
Zn 0.0000 0.0000 0.0000 (multiplicity 4)
Si 0.1245 0.1245 0.3755 (multiplicity 16)
Cl 0.2500 0.2500 0.7500 (multiplicity 4)

---

For Pr8Nd3Dy2, a structure optimized by DFT (PBE) gives the simulated powder XRD pattern in this record (Cu Kα (weighted mean of Kα1 and Kα2)).

Peak list (10 most intense, 2θ = 15–90°, sorted by position)
Position (°2θ), I/Imax, (hkl)
24.42, 25, 2 2 0
28.76, 38, 5 1 1
30.03, 36, 6 0 -1
30.45, 46, 0 0 2
32.56, 100, 4 2 -1
34.66, 12, 8 0 0
39.41, 14, 2 2 -2
46.79, 11, 8 0 -2
55.46, 22, 4 2 -3
59.55, 12, 10 2 -2

a = 20.7093 Å, b = 7.7885 Å, c = 5.8720 Å
α = 90.00°, β = 90.03°, γ = 90.00°
Space group C2/m (No. 12)
Unique sites:
Pr 0.1076 0.2077 0.0001 (multiplicity 8)
Pr 0.1346 0.5000 0.4994 (multiplicity 4)
Pr 0.1750 0.0000 0.5010 (multiplicity 4)
Nd 0.0000 0.2130 0.5000 (multiplicity 4)
Nd 0.0000 0.5000 0.0000 (multiplicity 2)
Dy 0.2412 0.5000 0.9987 (multiplicity 4)

---

For HfV6Ga6, a structure optimized by DFT (PBE) gives the simulated powder XRD pattern in this record (Cu Kα (weighted mean of Kα1 and Kα2)).

Peak list (10 most intense, 2θ = 15–90°, sorted by position)
Position (°2θ), I/Imax, (hkl)
31.79, 22, 0 1 3
34.93, 49, 2 0 0
35.13, 53, 1 3 0
40.55, 100, 0 0 4
40.69, 87, 2 2 0
45.66, 27, 2 2 2
66.56, 20, 3 3 2
73.76, 19, 4 0 0
73.82, 20, 1 3 6
74.24, 22, 2 6 0

a = 5.1349 Å, b = 8.8359 Å, c = 8.9077 Å
α = 90.00°, β = 90.00°, γ = 90.00°
Space group Immm (No. 71)
Unique sites:
Hf 0.0000 0.0000 0.0000 (multiplicity 2)
V 0.0000 0.5000 0.2580 (multiplicity 4)
V 0.2500 0.2500 0.2500 (multiplicity 8)
Ga 0.0000 0.0000 0.3150 (multiplicity 4)
Ga 0.0000 0.3276 0.5000 (multiplicity 4)
Ga 0.0000 0.3385 0.0000 (multiplicity 4)

---

For RbYCuO2, a structure optimized by DFT (PBE) gives the simulated powder XRD pattern in this record (Cu Kα (weighted mean of Kα1 and Kα2)).

Peak list (10 most intense, 2θ = 15–90°, sorted by position)
Position (°2θ), I/Imax, (hkl)
21.03, 38, 0 1 1
21.79, 45, 1 1 -1
25.13, 100, 2 0 0
30.97, 60, 1 1 -2
32.48, 25, 0 1 2
33.92, 61, 1 2 0
34.51, 26, 2 1 -2
38.53, 35, 1 1 2
41.98, 28, 3 1 -2
50.17, 29, 3 2 0

a = 7.5755 Å, b = 5.6966 Å, c = 6.7324 Å
α = 90.00°, β = 110.67°, γ = 90.00°
Space group P2/c (No. 13)
Unique sites:
Rb 0.0000 0.1957 0.2500 (multiplicity 2)
Y 0.5000 0.4931 0.7500 (multiplicity 2)
Cu 0.5000 0.0000 0.0000 (multiplicity 2)
O 0.3845 0.2914 0.4497 (multiplicity 4)